No. 1
For CsRb2NpH6, the GGA-PBE geometry in Alexandria gives the theoretical PXRD pattern in this record (CuKα).
Peak positions follow from Bragg's law for the DFT cell and can differ from measured ones.

Most intense lines, 5 to 70 degrees two-theta, by angle:
2θ (°)  intensity
15.23  7
17.61  14
25.00  100
35.65  21
40.03  7
44.04  44
51.29  12
57.89  20
69.82  11
69.92  11

Atomic structure:
```
data_CsRb2NpH6
_cell_length_a 7.123
_cell_length_b 7.123
_cell_length_c 7.123
_cell_angle_alpha 120.08
_cell_angle_beta 119.92
_cell_angle_gamma 90.00
_space_group_name_H-M_alt 'P 1'
_space_group_IT_number 1
_space_group_name_Hall 'P 1'
loop_
_atom_site_label
_atom_site_type_symbol
_atom_site_fract_x
_atom_site_fract_y
_atom_site_fract_z
Cs1 Cs 0.000 0.000 0.000
Rb1 Rb 0.250 0.750 0.500
Rb2 Rb 0.750 0.250 0.500
Np1 Np 0.500 0.500 0.000
H1 H 0.280 0.280 0.000
H2 H 0.281 0.280 0.561
H3 H 0.281 0.720 0.000
H4 H 0.719 0.280 0.000
H5 H 0.719 0.720 0.439
H6 H 0.720 0.720 0.000
```


No. 2
For Cs2P2H2O7, the GGA-PBE geometry in Alexandria gives the theoretical PXRD pattern in this record (CuKα).
Peak positions follow from Bragg's law for the DFT cell and can differ from measured ones.

Most intense lines, 5 to 70 degrees two-theta, by angle:
2θ (°)  intensity
15.18  20
19.49  20
24.79  100
26.48  50
26.64  40
29.30  65
30.64  25
33.09  20
33.22  30
48.28  17

Atomic structure:
```
data_Cs2P2H2O7
_cell_length_a 6.130
_cell_length_b 6.130
_cell_length_c 11.670
_cell_angle_alpha 90.24
_cell_angle_beta 90.24
_cell_angle_gamma 96.00
_space_group_name_H-M_alt 'P 1'
_space_group_IT_number 1
_space_group_name_Hall 'P 1'
loop_
_atom_site_label
_atom_site_type_symbol
_atom_site_fract_x
_atom_site_fract_y
_atom_site_fract_z
Cs1 Cs 0.227 0.767 0.980
Cs2 Cs 0.233 0.773 0.520
Cs3 Cs 0.767 0.227 0.480
Cs4 Cs 0.773 0.233 0.020
P1 P 0.301 0.332 0.262
P2 P 0.332 0.301 0.762
P3 P 0.668 0.699 0.238
P4 P 0.699 0.668 0.738
H1 H 0.002 0.600 0.258
H2 H 0.400 0.998 0.242
H3 H 0.600 0.002 0.758
H4 H 0.998 0.400 0.742
O1 O 0.108 0.315 0.696
O2 O 0.152 0.466 0.193
O3 O 0.256 0.301 0.388
O4 O 0.301 0.256 0.888
O5 O 0.315 0.108 0.196
O6 O 0.443 0.557 0.750
O7 O 0.466 0.152 0.693
O8 O 0.534 0.848 0.307
O9 O 0.557 0.443 0.250
O10 O 0.685 0.892 0.804
O11 O 0.699 0.744 0.112
O12 O 0.744 0.699 0.612
O13 O 0.848 0.534 0.807
O14 O 0.892 0.685 0.304
```


No. 3
For CsPH2O2, the GGA-PBE geometry in Alexandria gives the theoretical PXRD pattern in this record (CuKα).
Peak positions follow from Bragg's law for the DFT cell and can differ from measured ones.

Most intense lines, 5 to 70 degrees two-theta, by angle:
2θ (°)  intensity
14.89  21
17.06  25
19.92  31
24.07  39
24.42  100
26.48  26
27.52  50
35.51  34
36.08  33
40.50  23

Atomic structure:
```
data_CsPH2O2
_cell_length_a 8.671
_cell_length_b 6.732
_cell_length_c 8.176
_cell_angle_alpha 90.00
_cell_angle_beta 90.00
_cell_angle_gamma 90.00
_space_group_name_H-M_alt 'P 1'
_space_group_IT_number 1
_space_group_name_Hall 'P 1'
loop_
_atom_site_label
_atom_site_type_symbol
_atom_site_fract_x
_atom_site_fract_y
_atom_site_fract_z
Cs1 Cs 0.137 0.250 0.141
Cs2 Cs 0.363 0.750 0.641
Cs3 Cs 0.637 0.250 0.359
Cs4 Cs 0.863 0.750 0.859
P1 P 0.108 0.250 0.681
P2 P 0.392 0.750 0.181
P3 P 0.608 0.250 0.819
P4 P 0.892 0.750 0.319
H1 H 0.027 0.750 0.418
H2 H 0.227 0.250 0.559
H3 H 0.273 0.750 0.059
H4 H 0.473 0.250 0.918
H5 H 0.527 0.750 0.082
H6 H 0.727 0.250 0.941
H7 H 0.773 0.750 0.441
H8 H 0.973 0.250 0.582
O1 O 0.116 0.055 0.774
O2 O 0.116 0.445 0.774
O3 O 0.384 0.555 0.274
O4 O 0.384 0.945 0.274
O5 O 0.616 0.055 0.726
O6 O 0.616 0.445 0.726
O7 O 0.884 0.555 0.226
O8 O 0.884 0.945 0.226
```


No. 4
For CsP2H5O8, the GGA-PBE geometry in Alexandria gives the theoretical PXRD pattern in this record (CuKα).
Peak positions follow from Bragg's law for the DFT cell and can differ from measured ones.

Most intense lines, 5 to 70 degrees two-theta, by angle:
2θ (°)  intensity
17.04  49
18.97  70
21.58  36
23.31  67
23.43  62
28.38  100
28.49  45
29.07  72
29.35  38
31.39  38

Atomic structure:
```
data_CsP2H5O8
_cell_length_a 6.985
_cell_length_b 7.888
_cell_length_c 8.545
_cell_angle_alpha 75.15
_cell_angle_beta 66.57
_cell_angle_gamma 88.81
_space_group_name_H-M_alt 'P 1'
_space_group_IT_number 1
_space_group_name_Hall 'P 1'
loop_
_atom_site_label
_atom_site_type_symbol
_atom_site_fract_x
_atom_site_fract_y
_atom_site_fract_z
Cs1 Cs 0.134 0.316 0.148
Cs2 Cs 0.866 0.684 0.852
P1 P 0.209 0.241 0.668
P2 P 0.386 0.836 0.299
P3 P 0.614 0.164 0.701
P4 P 0.791 0.759 0.332
H1 H 0.184 0.778 0.165
H2 H 0.256 0.041 0.515
H3 H 0.273 0.560 0.479
H4 H 0.407 0.771 0.813
H5 H 0.466 0.633 0.708
H6 H 0.534 0.367 0.292
H7 H 0.593 0.229 0.187
H8 H 0.727 0.440 0.521
H9 H 0.744 0.959 0.485
H10 H 0.816 0.222 0.835
O1 O 0.016 0.283 0.809
O2 O 0.171 0.057 0.640
O3 O 0.246 0.695 0.472
O4 O 0.308 0.379 0.491
O5 O 0.342 0.820 0.139
O6 O 0.367 0.649 0.823
O7 O 0.368 0.016 0.331
O8 O 0.376 0.214 0.762
O9 O 0.624 0.786 0.238
O10 O 0.632 0.984 0.669
O11 O 0.633 0.351 0.177
O12 O 0.658 0.180 0.861
O13 O 0.692 0.621 0.509
O14 O 0.754 0.305 0.528
O15 O 0.829 0.943 0.360
O16 O 0.984 0.717 0.191
```